Pr3SiAgSe7: computed X-ray diffraction stick pattern (λ = 1.5418 Å (Cu Kα)), based on the PBE geometry in the Materials Project.

Most intense lines, 15 to 90 degrees two-theta, by intensity:
Position (°2θ), d/Å, intensity
34.5, 2.602, 100
39.0, 2.311, 73
30.8, 2.899, 71
33.1, 2.708, 68
29.1, 3.065, 59
32.2, 2.782, 47
37.6, 2.393, 41
45.9, 1.979, 34
35.1, 2.556, 30
23.9, 3.718, 30

Structural model:
```
data_Pr3SiAgSe7
_chemical_formula_sum 'Pr6 Si2 Ag2 Se14'
_cell_length_a 10.8330
_cell_length_b 10.8330
_cell_length_c 6.0961
_cell_angle_alpha 90.00
_cell_angle_beta 90.00
_cell_angle_gamma 120.00
_symmetry_space_group_name_H-M 'P 63'
_symmetry_Int_Tables_number 173
_symmetry_space_group_name_Hall 'P 6c'
loop_
_atom_site_label
_atom_site_fract_x
_atom_site_fract_y
_atom_site_fract_z
Pr1 0.1254 0.3573 0.0000
Si1 0.3333 0.6667 0.5892
Ag1 0.0000 0.0000 0.4557
Se1 0.0941 0.2698 0.4852
Se2 0.1100 0.5876 0.7394
Se3 0.3333 0.6667 0.2161
```